This entry pairs a crystal structure of HoGa4NiRu2 with its calculated powder X-ray diffraction pattern. Radiation: copper Kα. Structure: a DFT-relaxed cell (GGA-PBE, Alexandria).

a = 4.2166 Å, b = 4.2166 Å, c = 25.1283 Å
α = 90.00°, β = 90.00°, γ = 120.00°
Space group R-3m (No. 166, hexagonal axes)
Unique sites:
Ho1 0.0000 0.0000 0.0000 (multiplicity 3)
Ga1 0.0000 0.0000 0.1313 (multiplicity 6)
Ga2 0.0000 0.0000 0.3994 (multiplicity 6)
Ni1 0.0000 0.0000 0.5000 (multiplicity 3)
Ru1 0.0000 0.0000 0.2337 (multiplicity 6)

The 10 most intense peaks (2θ = 10–80°), by intensity:
2θ (°)	I_rel	h k l
42.9	1000	1 1 0
37.8	843	0 1 8
30.3	343	0 1 5
58.5	230	2 0 8
75.2	214	1 2 8
46.9	167	0 1 11
78.6	161	3 0 0
28.3	136	1 0 4
53.6	95	1 0 13
24.6	80	1 0 1